1.
This entry pairs a crystal structure of CdP2O2 with its calculated XRD peak list. Radiation: λ = 1.5418 Å (Cu Kα). Structure: a structure optimized by DFT (GGA-PBE).
Neutral-atom scattering factors, no anomalous dispersion.

Principal peaks in the range 15 to 90 degrees two-theta, by angle:
d_spacing  I_rel
4.862  42
3.586  17
2.886  100
2.536  54
2.431  51
2.249  80
1.793  37
1.755  35
1.523  27
1.443  34

Cell and atoms:
```
CdP2O2
1.0
3.586 0.000 0.000
0.000 3.586 0.000
0.000 0.000 4.862
Cd P O
1 2 2
Direct
0.000 0.000 0.000 Cd
0.500 0.500 0.000 P
0.500 0.500 0.500 P
0.000 0.500 0.500 O
0.500 0.000 0.500 O
```

---

2.
This entry pairs a crystal structure of K4AlTe4 with its calculated XRD peak list. Radiation: λ = 1.5418 Å (Cu Kα). Structure: a structure optimized by DFT (GGA-PBE).
Neutral-atom scattering factors, no anomalous dispersion.

Principal peaks in the range 15 to 90 degrees two-theta, by angle:
d_spacing  I_rel
4.143  72
3.713  26
3.530  100
3.480  27
2.906  20
2.855  41
2.558  45
2.496  42
2.478  19
2.138  20

Cell and atoms:
```
K4AlTe4
1.0
9.984 0.000 0.000
0.000 9.984 0.000
0.000 0.000 7.426
K Al Te
8 2 8
Direct
0.018 0.751 0.079 K
0.249 0.518 0.579 K
0.251 0.982 0.579 K
0.482 0.749 0.079 K
0.518 0.251 0.921 K
0.749 0.018 0.421 K
0.751 0.482 0.421 K
0.982 0.249 0.921 K
0.250 0.250 0.250 Al
0.750 0.750 0.750 Al
0.026 0.249 0.437 Te
0.249 0.474 0.063 Te
0.251 0.026 0.063 Te
0.474 0.251 0.437 Te
0.526 0.749 0.563 Te
0.749 0.974 0.937 Te
0.751 0.526 0.937 Te
0.974 0.751 0.563 Te
```

---

3.
This entry pairs a crystal structure of Na2Sr5Rh2 with its calculated XRD peak list. Radiation: λ = 1.5418 Å (Cu Kα). Structure: a structure optimized by DFT (GGA-PBE).
Neutral-atom scattering factors, no anomalous dispersion.

Principal peaks in the range 15 to 90 degrees two-theta, by angle:
d_spacing  I_rel
3.226  48
3.189  84
2.974  98
2.719  100
2.605  27
2.581  58
2.577  57
2.484  60
2.269  30
1.699  39

Cell and atoms:
```
Na2Sr5Rh2
1.0
10.105 -4.114 0.000
10.105 4.114 0.000
0.000 0.000 8.215
Na Sr Rh
4 10 4
Direct
0.230 0.230 0.000 Na
0.270 0.270 0.500 Na
0.730 0.730 0.500 Na
0.770 0.770 0.000 Na
0.000 0.000 0.000 Sr
0.071 0.730 0.670 Sr
0.230 0.571 0.170 Sr
0.270 0.929 0.670 Sr
0.429 0.770 0.170 Sr
0.500 0.500 0.500 Sr
0.571 0.230 0.830 Sr
0.730 0.071 0.330 Sr
0.770 0.429 0.830 Sr
0.929 0.270 0.330 Sr
0.120 0.880 0.380 Rh
0.380 0.620 0.880 Rh
0.620 0.380 0.120 Rh
0.880 0.120 0.620 Rh
```

---

4.
This entry pairs a crystal structure of Ac3Ga2Ge4 with its calculated XRD peak list. Radiation: λ = 1.5418 Å (Cu Kα). Structure: a structure optimized by DFT (GGA-PBE).
Neutral-atom scattering factors, no anomalous dispersion.

Principal peaks in the range 15 to 90 degrees two-theta, by angle:
d_spacing  I_rel
3.808  17
2.955  100
2.939  13
2.347  12
2.203  13
2.189  26
2.000  10
1.765  17
1.605  16
1.371  10

Cell and atoms:
```
Ac3Ga2Ge4
1.0
6.015 -2.203 0.000
6.015 2.203 0.000
-1.082 0.000 8.860
Ac Ga Ge
3 2 4
Direct
0.000 0.000 0.000 Ac
0.333 0.333 0.331 Ac
0.667 0.667 0.669 Ac
0.365 0.365 0.695 Ga
0.635 0.635 0.305 Ga
0.037 0.037 0.368 Ge
0.295 0.295 0.959 Ge
0.705 0.705 0.041 Ge
0.963 0.963 0.632 Ge
```

---

5.
This entry pairs a crystal structure of Mg4TlHPb with its calculated XRD peak list. Radiation: λ = 1.5418 Å (Cu Kα). Structure: a structure optimized by DFT (GGA-PBE).
Neutral-atom scattering factors, no anomalous dispersion.

Principal peaks in the range 15 to 90 degrees two-theta, by angle:
d_spacing  I_rel
4.286  88
3.739  39
3.329  100
3.177  37
3.150  36
2.421  43
2.409  42
2.237  44
1.928  30
1.919  26

Cell and atoms:
```
Mg4TlHPb
1.0
3.177 -7.477 0.000
3.177 7.477 0.000
0.000 0.000 6.299
Mg Tl H Pb
8 2 2 2
Direct
0.000 0.500 0.000 Mg
0.000 0.500 0.500 Mg
0.090 0.910 0.750 Mg
0.408 0.592 0.750 Mg
0.500 0.000 0.000 Mg
0.500 0.000 0.500 Mg
0.592 0.408 0.250 Mg
0.910 0.090 0.250 Mg
0.106 0.894 0.250 Tl
0.894 0.106 0.750 Tl
0.246 0.754 0.750 H
0.754 0.246 0.250 H
0.393 0.607 0.250 Pb
0.607 0.393 0.750 Pb
```

---

6.
This entry pairs a crystal structure of KIn2Te2Se with its calculated XRD peak list. Radiation: λ = 1.5418 Å (Cu Kα). Structure: a structure optimized by DFT (GGA-PBE).
Neutral-atom scattering factors, no anomalous dispersion.

Principal peaks in the range 15 to 90 degrees two-theta, by angle:
d_spacing  I_rel
4.888  43
4.085  43
3.471  71
3.281  88
3.196  35
2.664  100
2.621  39
2.607  74
2.381  89
2.317  55

Cell and atoms:
```
KIn2Te2Se
1.0
7.563 0.000 0.000
0.000 7.440 0.000
-1.704 0.000 7.847
K In Te Se
2 4 4 2
Direct
0.218 0.250 0.109 K
0.782 0.750 0.891 K
0.265 0.517 0.605 In
0.265 0.983 0.605 In
0.735 0.017 0.395 In
0.735 0.483 0.395 In
0.016 0.750 0.339 Te
0.291 0.750 0.899 Te
0.709 0.250 0.101 Te
0.984 0.250 0.661 Te
0.473 0.250 0.513 Se
0.527 0.750 0.487 Se
```

---

7.
This entry pairs a crystal structure of La2Pr2SmY6 with its calculated XRD peak list. Radiation: λ = 1.5418 Å (Cu Kα). Structure: a structure optimized by DFT (GGA-PBE).
Neutral-atom scattering factors, no anomalous dispersion.

Principal peaks in the range 15 to 90 degrees two-theta, by angle:
d_spacing  I_rel
2.939  72
2.883  43
2.824  100
2.672  18
2.057  23
1.960  14
1.751  14
1.653  21
1.512  18
1.497  18

Cell and atoms:
```
La2Pr2SmY6
1.0
2.883 -6.107 0.000
2.883 6.107 0.000
0.000 0.000 10.689
La Pr Sm Y
2 2 1 6
Direct
0.212 0.788 0.000 La
0.788 0.212 0.000 La
0.130 0.870 0.500 Pr
0.870 0.130 0.500 Pr
0.500 0.500 0.000 Sm
0.000 0.000 0.203 Y
0.000 0.000 0.797 Y
0.350 0.650 0.299 Y
0.350 0.650 0.701 Y
0.650 0.350 0.299 Y
0.650 0.350 0.701 Y
```

---

8.
This entry pairs a crystal structure of Pr5NdTm2Sc with its calculated XRD peak list. Radiation: λ = 1.5418 Å (Cu Kα). Structure: a structure optimized by DFT (GGA-PBE).
Neutral-atom scattering factors, no anomalous dispersion.

Principal peaks in the range 15 to 90 degrees two-theta, by angle:
d_spacing  I_rel
3.332  36
2.849  100
2.748  14
2.701  41
2.594  17
1.926  11
1.870  13
1.586  17
1.546  9
1.541  20

Cell and atoms:
```
Pr5NdTm2Sc
1.0
2.699 -10.993 0.000
2.699 10.993 0.000
0.000 0.000 10.376
Pr Nd Tm Sc
10 2 4 2
Direct
0.000 0.000 0.000 Pr
0.000 0.000 0.500 Pr
0.127 0.873 0.750 Pr
0.221 0.779 0.439 Pr
0.222 0.778 0.063 Pr
0.498 0.502 0.250 Pr
0.502 0.498 0.750 Pr
0.778 0.222 0.563 Pr
0.779 0.221 0.939 Pr
0.873 0.127 0.250 Pr
0.101 0.899 0.250 Nd
0.899 0.101 0.750 Nd
0.384 0.616 0.503 Tm
0.384 0.616 0.997 Tm
0.616 0.384 0.003 Tm
0.616 0.384 0.497 Tm
0.285 0.715 0.751 Sc
0.715 0.285 0.251 Sc
```

---

9.
This entry pairs a crystal structure of Ag2Hg4AsCl5 with its calculated XRD peak list. Radiation: λ = 1.5418 Å (Cu Kα). Structure: a structure optimized by DFT (GGA-PBE).
Neutral-atom scattering factors, no anomalous dispersion.

Principal peaks in the range 15 to 90 degrees two-theta, by angle:
d_spacing  I_rel
4.650  35
3.646  100
3.337  27
3.162  59
2.992  22
2.489  21
2.325  37
2.227  28
1.980  23
1.748  20

Cell and atoms:
```
Ag2Hg4AsCl5
1.0
7.468 0.000 0.000
0.000 6.530 3.337
0.000 -6.530 3.337
Ag Hg As Cl
2 4 1 5
Direct
0.000 0.197 0.803 Ag
0.000 0.803 0.197 Ag
0.179 0.421 0.421 Hg
0.500 0.131 0.849 Hg
0.500 0.849 0.131 Hg
0.821 0.421 0.421 Hg
0.500 0.256 0.256 As
0.000 0.978 0.978 Cl
0.262 0.503 0.903 Cl
0.262 0.903 0.503 Cl
0.738 0.503 0.903 Cl
0.738 0.903 0.503 Cl
```

---

10.
This entry pairs a crystal structure of MnV12Ga6 with its calculated XRD peak list. Radiation: λ = 1.5418 Å (Cu Kα). Structure: a structure optimized by DFT (GGA-PBE).
Neutral-atom scattering factors, no anomalous dispersion.

Principal peaks in the range 15 to 90 degrees two-theta, by angle:
d_spacing  I_rel
4.541  9
2.873  21
2.142  79
2.137  82
2.030  100
1.937  25
1.259  14
1.257  12
1.193  9
1.191  13

Cell and atoms:
```
MnV12Ga6
1.0
4.534 2.617 3.716
-4.534 2.617 3.716
0.000 -5.235 3.716
Mn V Ga
1 12 6
Direct
0.000 0.000 0.000 Mn
0.060 0.141 0.372 V
0.141 0.372 0.060 V
0.194 0.488 0.568 V
0.372 0.060 0.141 V
0.432 0.806 0.512 V
0.488 0.568 0.194 V
0.512 0.432 0.806 V
0.568 0.194 0.488 V
0.628 0.940 0.859 V
0.806 0.512 0.432 V
0.859 0.628 0.940 V
0.940 0.859 0.628 V
0.120 0.740 0.268 Ga
0.260 0.732 0.880 Ga
0.268 0.120 0.740 Ga
0.732 0.880 0.260 Ga
0.740 0.268 0.120 Ga
0.880 0.260 0.732 Ga
```

---

11.
This entry pairs a crystal structure of NiHg with its calculated XRD peak list. Radiation: λ = 1.5418 Å (Cu Kα). Structure: a structure optimized by DFT (GGA-PBE).
Neutral-atom scattering factors, no anomalous dispersion.

Principal peaks in the range 15 to 90 degrees two-theta, by angle:
d_spacing  I_rel
2.984  100
2.387  17
2.319  53
2.236  43
2.128  23
1.911  25
1.688  22
1.469  25
1.365  20
1.322  20

Cell and atoms:
```
NiHg
1.0
3.375 0.000 0.000
0.000 3.375 0.000
0.000 0.000 6.383
Ni Hg
2 2
Direct
0.250 0.750 0.000 Ni
0.750 0.250 0.000 Ni
0.250 0.250 0.335 Hg
0.750 0.750 0.665 Hg
```

---

12.
This entry pairs a crystal structure of Pm4SiCl4 with its calculated XRD peak list. Radiation: λ = 1.5418 Å (Cu Kα). Structure: a structure optimized by DFT (GGA-PBE).
Neutral-atom scattering factors, no anomalous dispersion.

Principal peaks in the range 15 to 90 degrees two-theta, by angle:
d_spacing  I_rel
3.714  100
3.430  17
2.965  24
2.949  12
2.481  18
2.425  22
2.399  12
2.209  18
2.031  21
1.966  15

Cell and atoms:
```
Pm4SiCl4
1.0
-3.430 3.430 5.774
3.430 -3.430 5.774
3.430 3.430 -5.774
Pm Si Cl
4 1 4
Direct
0.056 0.637 0.000 Pm
0.363 0.363 0.419 Pm
0.637 0.056 0.000 Pm
0.944 0.944 0.581 Pm
0.000 0.000 0.000 Si
0.000 0.500 0.500 Cl
0.337 0.337 0.000 Cl
0.500 0.000 0.500 Cl
0.663 0.663 0.000 Cl
```

---

13.
This entry pairs a crystal structure of BaNa2IrO5 with its calculated XRD peak list. Radiation: λ = 1.5418 Å (Cu Kα). Structure: a structure optimized by DFT (GGA-PBE).
Neutral-atom scattering factors, no anomalous dispersion.

Principal peaks in the range 15 to 90 degrees two-theta, by angle:
d_spacing  I_rel
5.657  82
3.260  34
2.943  20
2.825  100
2.611  23
2.136  22
2.039  25
1.675  18
1.631  22
1.412  14

Cell and atoms:
```
BaNa2IrO5
1.0
-1.958 2.943 5.657
1.958 -2.943 5.657
1.958 2.943 -5.657
Ba Na Ir O
1 2 1 5
Direct
0.000 0.000 0.000 Ba
0.281 0.781 0.500 Na
0.719 0.219 0.500 Na
0.500 0.500 0.000 Ir
0.144 0.378 0.766 O
0.388 0.622 0.766 O
0.500 0.000 0.500 O
0.612 0.378 0.234 O
0.856 0.622 0.234 O
```